1.
For LaAl2CdAu5, a crystal structure in Alexandria, relaxed with PBE gives the simulated X-ray diffraction stick pattern in this record (Cu Kα X-rays).
Neutral-atom scattering factors, no anomalous dispersion.

Largest 6 diffraction maxima, low angle first, 10 to 80 degrees two-theta:
d_spacing	I_rel	index
2.611	1000	1 1 2
2.483	487	2 0 0
1.756	173	2 2 0
1.535	195	2 0 4
1.457	341	3 1 2
1.306	115	2 2 4

Crystal structure
Cell: 4.9660 4.9660 7.8132 Å, 90.00 90.00 90.00°
Space group P4/mmm (No. 123)
Inequivalent atoms, fractional coordinates:
La  0.0000  0.0000  0.0000 x1
Al  0.5000  0.5000  0.3356 x2
Cd  0.0000  0.0000  0.5000 x1
Au  0.0000  0.5000  0.2519 x4
Au  0.5000  0.5000  0.0000 x1

=====

2.
For Sm4Ag2Se7, a crystal structure in Alexandria, relaxed with PBE gives the simulated X-ray diffraction stick pattern in this record (Cu Kα X-rays).
Neutral-atom scattering factors, no anomalous dispersion.

Largest 6 diffraction maxima, low angle first, 10 to 80 degrees two-theta:
d_spacing	I_rel	index
3.668	784	1 1 -2
2.839	419	1 3 -2
2.825	627	1 4 -1
2.797	1000	2 2 -2
2.734	869	2 1 1
2.397	799	0 5 1

Crystal structure
Cell: 7.4312 12.6730 7.8108 Å, 90.00 110.10 90.00°
Space group Pc (No. 7)
Inequivalent atoms, fractional coordinates:
Sm  0.0000  0.0504  0.0000 x2
Sm  0.0497  0.3674  0.2090 x2
Sm  0.3362  0.2266  0.6704 x2
Sm  0.5540  0.1388  0.2117 x2
Ag  0.4285  0.4709  0.8359 x2
Ag  0.8286  0.2974  0.7027 x2
Se  0.0840  0.4214  0.5888 x2
Se  0.1882  0.2466  0.9753 x2
Se  0.3131  0.0215  0.8223 x2
Se  0.4833  0.3283  0.4128 x2
Se  0.6598  0.3114  0.9723 x2
Se  0.7183  0.0689  0.6291 x2
Se  0.9790  0.1647  0.3456 x2

=====

3.
For KGe3, a crystal structure in Alexandria, relaxed with PBE gives the simulated X-ray diffraction stick pattern in this record (Cu Kα X-rays).
Neutral-atom scattering factors, no anomalous dispersion.

Largest 6 diffraction maxima, low angle first, 10 to 80 degrees two-theta:
d_spacing	I_rel	index
6.779	877	0 0 1
3.466	221	0 1 1
3.411	237	1 0 1
2.604	1000	1 1 1
2.168	536	1 1 2
1.763	232	1 1 3

Crystal structure
Cell: 3.9465 4.0324 6.7788 Å, 90.00 90.00 90.00°
Space group Pmm2 (No. 25)
Inequivalent atoms, fractional coordinates:
K  0.0000  0.0000  0.0000 x1
Ge  0.0000  0.5000  0.4368 x1
Ge  0.5000  0.0000  0.4429 x1
Ge  0.5000  0.5000  0.7062 x1

=====

4.
For Rb5PSe4Br2, a crystal structure in Alexandria, relaxed with PBE gives the simulated X-ray diffraction stick pattern in this record (Cu Kα X-rays).
Neutral-atom scattering factors, no anomalous dispersion.

Largest 6 diffraction maxima, low angle first, 10 to 80 degrees two-theta:
d_spacing	I_rel	index
4.090	480	2 1 1
3.497	747	0 3 1
3.233	627	2 0 2
2.891	411	0 4 0
2.821	1000	2 2 2
2.571	283	4 0 0

Crystal structure
Cell: 10.2831 11.5620 8.3137 Å, 90.00 90.00 90.00°
Space group Amm2 (No. 38)
Inequivalent atoms, fractional coordinates:
Rb  0.0000  0.0000  0.0000 x2
Rb  0.2651  0.1977  0.4978 x8
P  0.5000  0.0000  0.9648 x2
Se  0.3229  0.0000  0.1219 x4
Se  0.5000  0.1547  0.8038 x4
Br  0.0000  0.2399  0.7482 x4

=====

5.
For Pr2Pu3Pt4, a crystal structure in Alexandria, relaxed with PBE gives the simulated X-ray diffraction stick pattern in this record (Cu Kα X-rays).
Neutral-atom scattering factors, no anomalous dispersion.

Largest 6 diffraction maxima, low angle first, 10 to 80 degrees two-theta:
d_spacing	I_rel	index
2.923	360	2 1 -2
2.726	712	2 2 -1
2.710	473	1 2 -2
2.693	632	1 1 2
2.663	344	2 2 0
2.428	1000	1 1 -3

Crystal structure
Cell: 7.7488 7.7947 7.6571 Å, 90.00 109.71 90.00°
Space group P2_1/c (No. 14)
Inequivalent atoms, fractional coordinates:
Pr  0.1910  0.1758  0.0670 x4
Pu  0.2463  0.6672  0.2412 x4
Pu  0.5000  0.0000  0.5000 x2
Pt  0.0799  0.5397  0.8465 x4
Pt  0.4947  0.1305  0.8687 x4

=====

6.
For Ge3IrS, a crystal structure in Alexandria, relaxed with PBE gives the simulated X-ray diffraction stick pattern in this record (Cu Kα X-rays).
Neutral-atom scattering factors, no anomalous dispersion.

Largest 6 diffraction maxima, low angle first, 10 to 80 degrees two-theta:
d_spacing	I_rel	index
4.777	814	1 1 0
4.488	1000	1 1 -1
3.971	667	0 2 1
3.255	534	1 1 -2
2.463	762	1 3 1
2.444	570	2 2 -1

Crystal structure
Cell: 5.7322 9.5379 7.4448 Å, 90.00 105.63 90.00°
Space group Cc (No. 9)
Inequivalent atoms, fractional coordinates:
Ge  0.0000  0.0221  0.0000 x4
Ge  0.0841  0.2766  0.4037 x4
Ge  0.4530  0.0618  0.6237 x4
Ir  0.2701  0.3822  0.7120 x4
S  0.0135  0.2778  0.8873 x4

=====

7.
For RbZrCu2I8, a crystal structure in Alexandria, relaxed with PBE gives the simulated X-ray diffraction stick pattern in this record (Cu Kα X-rays).
Neutral-atom scattering factors, no anomalous dispersion.

Largest 6 diffraction maxima, low angle first, 10 to 80 degrees two-theta:
d_spacing	I_rel	index
5.781	441	1 1 -1
3.770	505	2 0 2
3.340	850	2 2 0
3.204	1000	0 2 2
2.120	634	4 2 2
2.018	409	0 4 0

Crystal structure
Cell: 11.9438 8.0752 10.5806 Å, 90.00 95.40 90.00°
Space group C2/m (No. 12)
Inequivalent atoms, fractional coordinates:
Rb  0.0000  0.0000  0.0000 x2
Zr  0.0000  0.0000  0.5000 x2
Cu  0.1331  0.5000  0.2821 x4
I  0.0142  0.2502  0.6962 x8
I  0.1920  0.5000  0.0615 x4
I  0.2404  0.0000  0.5046 x4

=====

8.
For Sm4Ho4Er, a crystal structure in Alexandria, relaxed with PBE gives the simulated X-ray diffraction stick pattern in this record (Cu Kα X-rays).
Neutral-atom scattering factors, no anomalous dispersion.

Largest 6 diffraction maxima, low angle first, 10 to 80 degrees two-theta:
d_spacing	I_rel	index
2.890	813	3 1 1
2.847	1000	3 1 -2
2.790	369	6 0 -1
2.780	507	0 2 0
1.969	271	6 2 -1
1.618	199	3 3 -2

Crystal structure
Cell: 16.7441 5.5610 6.8153 Å, 90.00 112.95 90.00°
Space group C2/m (No. 12)
Inequivalent atoms, fractional coordinates:
Sm  0.1327  0.0000  0.4610 x4
Sm  0.2189  0.5000  0.7870 x4
Ho  0.0728  0.0000  0.8775 x4
Ho  0.1272  0.5000  0.1824 x4
Er  0.0000  0.5000  0.5000 x2